This entry pairs a crystal structure of Li2TaCu2 with its calculated powder X-ray diffraction pattern. Radiation: Cu Kα (λ = 1.5418 Å). Structure: a GGA-PBE-relaxed structure.

Top 10 peaks for 2θ = 15–90°, in order of falling intensity:
| 2θ/deg | d/Å | I_rel | (hkl) |
| --- | --- | --- | --- |
| 17.52 | 5.063 | 100 | 1 1 0 |
| 42.92 | 2.107 | 70 | 2 0 1 |
| 39.81 | 2.264 | 59 | 3 1 0 |
| 35.46 | 2.532 | 48 | 2 2 0 |
| 38.87 | 2.317 | 44 | 1 1 1 |
| 65.94 | 1.417 | 21 | 3 3 1 |
| 27.86 | 3.202 | 20 | 2 1 0 |
| 53.62 | 1.709 | 18 | 3 1 1 |
| 77.16 | 1.236 | 17 | 5 1 1 |
| 68.82 | 1.364 | 15 | 4 2 1 |

Structure:
```
data_Li2TaCu2
_chemical_formula_sum 'Li4 Ta2 Cu4'
_symmetry_space_group_name_H-M 'P 4/m b m'
_symmetry_Int_Tables_number 127
_symmetry_space_group_name_Hall '-P 4 2ab'
_cell_length_a 7.161
_cell_length_b 7.161
_cell_length_c 2.606
_cell_angle_alpha 90.00
_cell_angle_beta 90.00
_cell_angle_gamma 90.00
loop_
_atom_site_label
_atom_site_type_symbol
_atom_site_fract_x
_atom_site_fract_y
_atom_site_fract_z
_atom_site_occupancy
Li1 Li 0.114 0.386 0.000 1
Ta1 Ta 0.000 0.000 0.000 1
Cu1 Cu 0.188 0.688 0.500 1
```